For Rb2ReSBr5, a GGA-PBE-relaxed structure gives the simulated powder diffraction line list in this record (Cu Kα (λ = 1.5418 Å)).

Most intense lines, 10° ≤ 2θ ≤ 90°, in order of rising 2θ:
14.38 deg, 6.160 Å, I = 100
23.66 deg, 3.761 Å, I = 37
28.99 deg, 3.080 Å, I = 73
33.39 deg, 2.684 Å, I = 82
34.01 deg, 2.636 Å, I = 37
47.94 deg, 1.898 Å, I = 28
48.40 deg, 1.881 Å, I = 53
60.08 deg, 1.540 Å, I = 27

Cell and atoms:
Cell lengths 7.523, 7.523, 7.523 Å; angles 119.41, 119.41, 91.02 degrees
Atoms (fractional coordinates):
Rb 0.000 0.500 0.500
Rb 0.500 0.000 0.500
Re 0.270 0.270 0.000
S 0.476 0.476 0.000
Br 0.014 0.014 0.526
Br 0.014 0.488 0.000
Br 0.017 0.017 0.000
Br 0.488 0.014 0.000
Br 0.488 0.488 0.474



For NdCd9Pd3, a GGA-PBE-relaxed structure gives the simulated powder diffraction line list in this record (Cu Kα (λ = 1.5418 Å)).

Most intense lines, 10° ≤ 2θ ≤ 90°, in order of rising 2θ:
31.55 deg, 2.836 Å, I = 42
31.68 deg, 2.825 Å, I = 24
36.36 deg, 2.471 Å, I = 54
36.54 deg, 2.459 Å, I = 37
36.69 deg, 2.449 Å, I = 100
40.95 deg, 2.204 Å, I = 41
41.45 deg, 2.178 Å, I = 25
65.88 deg, 1.418 Å, I = 27

Cell and atoms:
Cell lengths 7.557, 7.557, 7.399 Å; angles 98.15, 98.15, 135.91 degrees
Atoms (fractional coordinates):
Nd 0.000 0.000 0.000
Cd 0.000 0.000 0.500
Cd 0.000 0.349 0.335
Cd 0.000 0.651 0.665
Cd 0.288 0.509 0.787
Cd 0.349 0.000 0.335
Cd 0.491 0.712 0.213
Cd 0.509 0.288 0.787
Cd 0.651 0.000 0.665
Cd 0.712 0.491 0.213
Pd 0.000 0.500 0.000
Pd 0.500 0.000 0.000
Pd 0.500 0.500 0.500



For Nd3ThOs8, a GGA-PBE-relaxed structure gives the simulated powder diffraction line list in this record (Cu Kα (λ = 1.5418 Å)).

Most intense lines, 10° ≤ 2θ ≤ 90°, in order of rising 2θ:
19.95 deg, 4.450 Å, I = 10
32.87 deg, 2.725 Å, I = 23
38.75 deg, 2.324 Å, I = 100
40.54 deg, 2.225 Å, I = 45
62.63 deg, 1.483 Å, I = 33
68.92 deg, 1.363 Å, I = 29
81.97 deg, 1.175 Å, I = 12
83.13 deg, 1.162 Å, I = 17

Cell and atoms:
Cell lengths 9.436, 9.436, 9.436 Å; angles 33.58, 33.58, 33.58 degrees
Atoms (fractional coordinates):
Nd 0.000 0.000 0.000
Nd 0.124 0.124 0.124
Nd 0.626 0.626 0.626
Th 0.500 0.500 0.500
Os 0.058 0.566 0.566
Os 0.065 0.065 0.559
Os 0.065 0.559 0.065
Os 0.316 0.316 0.316
Os 0.559 0.065 0.065
Os 0.566 0.058 0.566
Os 0.566 0.566 0.058
Os 0.815 0.815 0.815



For Tl3Cd3Sn, a GGA-PBE-relaxed structure gives the simulated powder diffraction line list in this record (Cu Kα (λ = 1.5418 Å)).

Most intense lines, 10° ≤ 2θ ≤ 90°, in order of rising 2θ:
15.40 deg, 5.755 Å, I = 36
21.84 deg, 4.069 Å, I = 41
26.83 deg, 3.323 Å, I = 100
38.31 deg, 2.349 Å, I = 46
41.52 deg, 2.175 Å, I = 63
44.53 deg, 2.035 Å, I = 38
64.80 deg, 1.439 Å, I = 25
71.45 deg, 1.320 Å, I = 19

Cell and atoms:
Cell lengths 8.138, 8.138, 8.138 Å; angles 90.00, 90.00, 90.00 degrees
Atoms (fractional coordinates):
Tl 0.000 0.250 0.500
Tl 0.000 0.750 0.500
Tl 0.250 0.500 0.000
Tl 0.500 0.000 0.250
Tl 0.500 0.000 0.750
Tl 0.750 0.500 0.000
Cd 0.000 0.500 0.250
Cd 0.000 0.500 0.750
Cd 0.250 0.000 0.500
Cd 0.500 0.250 0.000
Cd 0.500 0.750 0.000
Cd 0.750 0.000 0.500
Sn 0.000 0.000 0.000
Sn 0.500 0.500 0.500



For PaCl3O, a GGA-PBE-relaxed structure gives the simulated powder diffraction line list in this record (Cu Kα (λ = 1.5418 Å)).

Most intense lines, 10° ≤ 2θ ≤ 90°, in order of rising 2θ:
11.25 deg, 7.862 Å, I = 100
15.31 deg, 5.787 Å, I = 64
20.78 deg, 4.274 Å, I = 34
23.12 deg, 3.847 Å, I = 33
24.93 deg, 3.571 Å, I = 27
25.78 deg, 3.456 Å, I = 36
34.26 deg, 2.618 Å, I = 51
45.86 deg, 1.979 Å, I = 30

Cell and atoms:
Cell lengths 8.548, 3.847, 7.862 Å; angles 90.00, 90.00, 90.00 degrees
Atoms (fractional coordinates):
Pa 0.250 0.000 0.109
Pa 0.750 0.000 0.891
Cl 0.050 0.000 0.800
Cl 0.250 0.500 0.372
Cl 0.450 0.000 0.800
Cl 0.550 0.000 0.200
Cl 0.750 0.500 0.628
Cl 0.950 0.000 0.200
O 0.250 0.500 0.011
O 0.750 0.500 0.989